# 1
The following is a theoretical PXRD pattern of Li3Cd. It was derived from a crystal structure in the Materials Project, relaxed with GGA-PBE, using Cu Ka.

Largest 6 diffraction maxima, in order of rising 2θ, 10 to 90 degrees two-theta:
| 2theta | Rel. int. |
| --- | --- |
| 18.9 | 100 |
| 32.9 | 76 |
| 33.4 | 73 |
| 35.2 | 89 |
| 36.5 | 56 |
| 41.8 | 54 |

Structure:
abc: 9.583 9.583 9.583
angles: 18.97 18.97 18.97
Atoms (fractional coordinates):
Li 0.000 0.000 0.000
Li 0.249 0.249 0.249
Li 0.751 0.751 0.751
Cd 0.500 0.500 0.500

# 2
The following is a theoretical PXRD pattern of LiCd3. It was derived from a crystal structure in the Materials Project, relaxed with GGA-PBE, using Cu Ka.

Largest 6 diffraction maxima, in order of rising 2θ, 10 to 90 degrees two-theta:
| 2theta | Rel. int. |
| --- | --- |
| 24.5 | 35 |
| 33.5 | 24 |
| 36.4 | 26 |
| 38.2 | 100 |
| 66.7 | 18 |
| 72.1 | 19 |

Structure:
abc: 6.180 6.180 4.942
angles: 90.00 90.00 120.00
Atoms (fractional coordinates):
Li 0.333 0.667 0.250
Li 0.667 0.333 0.750
Cd 0.170 0.340 0.750
Cd 0.170 0.830 0.750
Cd 0.340 0.170 0.250
Cd 0.660 0.830 0.750
Cd 0.830 0.170 0.250
Cd 0.830 0.660 0.250

# 3
The following is a theoretical PXRD pattern of Li3Cd. It was derived from a crystal structure in the Materials Project, relaxed with GGA-PBE, using Cu Ka.

Largest 6 diffraction maxima, in order of rising 2θ, 10 to 90 degrees two-theta:
| 2theta | Rel. int. |
| --- | --- |
| 23.1 | 100 |
| 26.7 | 52 |
| 38.1 | 57 |
| 45.0 | 50 |
| 60.4 | 20 |
| 68.9 | 19 |

Structure:
abc: 4.723 4.723 4.723
angles: 60.00 60.00 60.00
Atoms (fractional coordinates):
Li 0.000 0.000 0.000
Li 0.250 0.250 0.250
Li 0.750 0.750 0.750
Cd 0.500 0.500 0.500

# 4
The following is a theoretical PXRD pattern of LiCd3. It was derived from a crystal structure in the Materials Project, relaxed with GGA-PBE, using Cu Ka.

Largest 6 diffraction maxima, in order of rising 2θ, 10 to 90 degrees two-theta:
| 2theta | Rel. int. |
| --- | --- |
| 32.5 | 32 |
| 33.8 | 22 |
| 37.3 | 20 |
| 37.6 | 100 |
| 57.9 | 18 |
| 70.9 | 17 |

Structure:
abc: 3.184 3.184 9.651
angles: 90.00 90.00 120.00
Atoms (fractional coordinates):
Li 0.000 0.000 0.000
Cd 0.000 0.000 0.500
Cd 0.667 0.333 0.235
Cd 0.667 0.333 0.765

# 5
The following is a theoretical PXRD pattern of Li3Cd. It was derived from a crystal structure in the Materials Project, relaxed with GGA-PBE, using Cu Ka.

Largest 6 diffraction maxima, in order of rising 2θ, 10 to 90 degrees two-theta:
| 2theta | Rel. int. |
| --- | --- |
| 20.3 | 37 |
| 23.8 | 100 |
| 30.6 | 27 |
| 37.0 | 45 |
| 37.8 | 30 |
| 50.6 | 25 |

Structure:
abc: 5.258 5.258 5.258
angles: 133.79 133.79 67.41
Atoms (fractional coordinates):
Li 0.000 0.000 0.000
Li 0.250 0.750 0.500
Li 0.750 0.250 0.500
Cd 0.500 0.500 0.000

# 6
The following is a theoretical PXRD pattern of LiMg6Cd. It was derived from a crystal structure in the Materials Project, relaxed with GGA-PBE, using Cu Ka.

Largest 6 diffraction maxima, in order of rising 2θ, 10 to 90 degrees two-theta:
| 2theta | Rel. int. |
| --- | --- |
| 16.3 | 65 |
| 23.8 | 54 |
| 32.9 | 28 |
| 33.4 | 23 |
| 35.0 | 26 |
| 37.4 | 100 |

Structure:
abc: 5.123 6.287 6.287
angles: 60.12 90.00 90.00
Atoms (fractional coordinates):
Li 0.000 0.000 0.000
Mg 0.000 0.000 0.502
Mg 0.000 0.502 0.000
Mg 0.500 0.331 0.834
Mg 0.500 0.334 0.334
Mg 0.500 0.834 0.331
Mg 0.500 0.835 0.835
Cd 0.000 0.501 0.501

# 7
The following is a theoretical PXRD pattern of LiMg6Cd. It was derived from a crystal structure in the Materials Project, relaxed with GGA-PBE, using Cu Ka.

Largest 6 diffraction maxima, in order of rising 2θ, 10 to 90 degrees two-theta:
| 2theta | Rel. int. |
| --- | --- |
| 16.3 | 50 |
| 17.3 | 23 |
| 23.8 | 49 |
| 32.8 | 34 |
| 35.1 | 25 |
| 37.4 | 100 |

Structure:
abc: 5.117 6.294 6.294
angles: 60.17 90.00 90.00
Atoms (fractional coordinates):
Li 0.000 0.000 0.000
Mg 0.000 0.000 0.502
Mg 0.000 0.501 0.501
Mg 0.000 0.502 0.000
Mg 0.500 0.331 0.834
Mg 0.500 0.335 0.335
Mg 0.500 0.834 0.331
Cd 0.500 0.837 0.837

# 8
The following is a theoretical PXRD pattern of Li2MgCdP2. It was derived from a crystal structure in the Materials Project, relaxed with GGA-PBE, using Cu Ka.

Largest 6 diffraction maxima, in order of rising 2θ, 10 to 90 degrees two-theta:
| 2theta | Rel. int. |
| --- | --- |
| 14.6 | 30 |
| 20.7 | 30 |
| 25.4 | 100 |
| 42.1 | 80 |
| 49.8 | 44 |
| 76.9 | 25 |

Structure:
abc: 4.296 4.296 6.064
angles: 90.00 90.00 90.00
Atoms (fractional coordinates):
Li 0.000 0.000 0.000
Li 0.500 0.500 0.500
Mg 0.000 0.000 0.500
Cd 0.500 0.500 0.000
P 0.000 0.500 0.741
P 0.500 0.000 0.259

# 9
The following is a theoretical PXRD pattern of Li2MgCdP2. It was derived from a crystal structure in the Materials Project, relaxed with GGA-PBE, using Cu Ka.

Largest 6 diffraction maxima, in order of rising 2θ, 10 to 90 degrees two-theta:
| 2theta | Rel. int. |
| --- | --- |
| 15.2 | 55 |
| 21.3 | 51 |
| 26.3 | 47 |
| 30.3 | 100 |
| 30.7 | 49 |
| 43.7 | 86 |

Structure:
abc: 4.166 4.166 5.832
angles: 90.00 90.00 90.00
Atoms (fractional coordinates):
Li 0.000 0.500 0.246
Li 0.500 0.000 0.754
Mg 0.000 0.000 0.500
Cd 0.500 0.500 0.000
P 0.000 0.000 0.000
P 0.500 0.500 0.500

# 10
The following is a theoretical PXRD pattern of LiCd4Tc4O12. It was derived from a crystal structure in the Materials Project, relaxed with GGA-PBE, using Cu Ka.

Largest 6 diffraction maxima, in order of rising 2θ, 10 to 90 degrees two-theta:
| 2theta | Rel. int. |
| --- | --- |
| 31.8 | 100 |
| 32.0 | 51 |
| 32.1 | 54 |
| 32.2 | 53 |
| 32.4 | 43 |
| 45.6 | 49 |

Structure:
abc: 5.535 5.597 7.956
angles: 90.03 90.23 91.01
Atoms (fractional coordinates):
Li 0.000 0.000 0.000
Cd 0.212 0.714 0.503
Cd 0.250 0.661 0.998
Cd 0.595 0.209 0.998
Cd 0.695 0.230 0.505
Tc 0.157 0.222 0.738
Tc 0.158 0.224 0.265
Tc 0.672 0.719 0.748
Tc 0.673 0.719 0.256
O 0.135 0.113 0.500
O 0.178 0.291 0.002
O 0.358 0.921 0.202
O 0.360 0.923 0.802
O 0.462 0.424 0.306
O 0.463 0.421 0.700
O 0.636 0.828 0.500
O 0.686 0.618 0.002
O 0.849 0.031 0.204
O 0.852 0.029 0.795
O 0.963 0.520 0.688
O 0.963 0.522 0.307

# 11
The following is a theoretical PXRD pattern of LiCd4Tc4O12. It was derived from a crystal structure in the Materials Project, relaxed with GGA-PBE, using Cu Ka.

Largest 6 diffraction maxima, in order of rising 2θ, 10 to 90 degrees two-theta:
| 2theta | Rel. int. |
| --- | --- |
| 31.5 | 43 |
| 31.7 | 100 |
| 32.5 | 56 |
| 32.6 | 56 |
| 33.0 | 48 |
| 45.9 | 27 |

Structure:
abc: 5.435 5.690 7.910
angles: 92.12 90.27 90.15
Atoms (fractional coordinates):
Li 0.000 0.000 0.000
Cd 0.121 0.168 0.398
Cd 0.169 0.323 0.864
Cd 0.602 0.764 0.903
Cd 0.657 0.666 0.404
Tc 0.137 0.733 0.645
Tc 0.141 0.692 0.162
Tc 0.629 0.213 0.154
Tc 0.643 0.219 0.648
O 0.018 0.699 0.901
O 0.250 0.745 0.402
O 0.335 0.994 0.093
O 0.343 0.024 0.706
O 0.425 0.490 0.089
O 0.445 0.527 0.698
O 0.527 0.247 0.402
O 0.760 0.187 0.901
O 0.840 0.930 0.592
O 0.843 0.918 0.211
O 0.928 0.416 0.212
O 0.938 0.427 0.593